Diffraction record for La3Tb5Pr4. The X-ray powder pattern is computed, not measured: it uses a structure optimized by DFT (GGA-PBE) and Cu Kα (weighted mean of Kα1 and Kα2).
Lines closer than 0.1° are merged.

Main lines, in order of rising 2θ (10 to 90 degrees two-theta):
| 2θ/deg | I/Imax | h k l |
| --- | --- | --- |
| 29.90 | 100.0 | 1 2 1 |
| 34.66 | 50.8 | 2 0 2 |
| 49.79 | 18.2 | 1 2 4 |
| 49.88 | 18.1 | 3 2 0 |
| 59.12 | 10.9 | 3 2 3 |
| 59.24 | 32.4 | 4 0 1 |
| 62.16 | 9.3 | 2 4 2 |
| 81.03 | 8.8 | 1 6 1 |

```
data_La3Tb5Pr4
_chemical_formula_sum 'La3 Tb5 Pr4'
_space_group_name_H-M_alt 'P -1'
_space_group_IT_number 2
_space_group_name_Hall '-P 1'
_cell_length_a 6.337
_cell_length_b 7.309
_cell_length_c 8.980
_cell_angle_alpha 89.92
_cell_angle_beta 89.91
_cell_angle_gamma 89.95
loop_
_atom_site_label
_atom_site_type_symbol
_atom_site_fract_x
_atom_site_fract_y
_atom_site_fract_z
_atom_site_occupancy
La1 La 0.000 0.000 0.000 1
La2 La 0.169 0.249 0.331 1
Tb1 Tb 0.000 0.500 0.000 1
Tb2 Tb 0.335 0.000 0.669 1
Tb3 Tb 0.499 0.750 0.000 1
Pr1 Pr 0.169 0.752 0.332 1
Pr2 Pr 0.331 0.499 0.670 1
```